# Bi2W2O9
Theoretical powder XRD pattern, Cu Kα X-rays. Input: a DFT-relaxed cell (GGA+U, Alexandria).
Intensities are scaled so that the largest is 100.

Most intense lines, 10 to 90 degrees two-theta, low angle first:
d (Å), I (rel.), (hkl)
3.819, 33, 1 1 1
3.498, 40, 3 1 1
3.274, 49, 4 1 1
3.079, 32, 8 0 0
3.041, 100, 5 1 1
2.725, 54, 0 2 0

Structure:
```
data_Bi2W2O9
_chemical_formula_sum 'Bi8 W8 O36'
_cell_length_a 24.633
_cell_length_b 5.448
_cell_length_c 5.486
_cell_angle_alpha 90.00
_cell_angle_beta 90.00
_cell_angle_gamma 90.00
_symmetry_space_group_name_H-M 'P 1'
_symmetry_Int_Tables_number 1
loop_
_symmetry_equiv_pos_as_xyz
'x,y,z'
loop_
_atom_site_label
_atom_site_fract_x
_atom_site_fract_y
_atom_site_fract_z
_atom_site_occupancy
Bi1 0.197 0.228 0.141 1
Bi2 0.197 0.772 0.641 1
Bi3 0.303 0.272 0.641 1
Bi4 0.303 0.728 0.141 1
Bi5 0.697 0.272 0.859 1
Bi6 0.697 0.728 0.359 1
Bi7 0.803 0.228 0.359 1
Bi8 0.803 0.772 0.859 1
W1 0.077 0.251 0.702 1
W2 0.077 0.749 0.202 1
W3 0.423 0.249 0.202 1
W4 0.423 0.751 0.702 1
W5 0.577 0.249 0.298 1
W6 0.577 0.751 0.798 1
W7 0.923 0.251 0.798 1
W8 0.923 0.749 0.298 1
O1 0.000 0.315 0.750 1
O2 0.000 0.685 0.250 1
O3 0.066 0.028 0.452 1
O4 0.066 0.972 0.952 1
O5 0.088 0.474 0.000 1
O6 0.088 0.526 0.500 1
O7 0.152 0.177 0.736 1
O8 0.152 0.823 0.236 1
O9 0.249 0.491 0.914 1
O10 0.249 0.509 0.414 1
O11 0.251 0.009 0.414 1
O12 0.251 0.991 0.914 1
O13 0.348 0.323 0.236 1
O14 0.348 0.677 0.736 1
O15 0.412 0.026 0.500 1
O16 0.412 0.974 0.000 1
O17 0.434 0.472 0.952 1
O18 0.434 0.528 0.452 1
O19 0.500 0.185 0.250 1
O20 0.500 0.815 0.750 1
O21 0.566 0.472 0.548 1
O22 0.566 0.528 0.048 1
O23 0.588 0.026 0.000 1
O24 0.588 0.974 0.500 1
O25 0.652 0.323 0.264 1
O26 0.652 0.677 0.764 1
O27 0.749 0.009 0.086 1
O28 0.749 0.991 0.586 1
O29 0.751 0.491 0.586 1
O30 0.751 0.509 0.086 1
O31 0.848 0.177 0.764 1
O32 0.848 0.823 0.264 1
O33 0.912 0.474 0.500 1
O34 0.912 0.526 0.000 1
O35 0.934 0.028 0.048 1
O36 0.934 0.972 0.548 1
```